Starting from a structure optimized by DFT (GGA+U), the powder XRD pattern of Na3VB2O6 was simulated for copper Kα.
Intensities are scaled so that the largest is 100.

Peak list (10 most intense, 10° ≤ 2θ ≤ 80°, sorted by position)
| d [Å] | 2θ/deg | Rel. int. | h k l |
| --- | --- | --- | --- |
| 5.036 | 17.6 | 24 | 1 0 0 |
| 4.781 | 18.6 | 21 | 0 2 0 |
| 4.657 | 19.1 | 25 | 0 1 2 |
| 4.285 | 20.7 | 30 | 1 1 -2 |
| 2.762 | 32.4 | 97 | 1 3 -1 |
| 2.666 | 33.6 | 100 | 0 0 4 |
| 2.518 | 35.7 | 30 | 2 0 0 |
| 2.482 | 36.2 | 24 | 1 3 1 |
| 1.912 | 47.6 | 18 | 1 1 -6 |
| 1.803 | 50.6 | 22 | 3 1 -2 |

Cell and atoms:
abc: 5.542 9.556 11.737
angles: 90.00 114.67 90.00
Fractional positions:
Na 0.013 0.037 0.160
Na 0.013 0.463 0.660
Na 0.044 0.659 0.877
Na 0.044 0.841 0.377
Na 0.424 0.018 0.614
Na 0.424 0.482 0.114
Na 0.576 0.518 0.886
Na 0.576 0.982 0.386
Na 0.956 0.159 0.623
Na 0.956 0.341 0.123
Na 0.987 0.537 0.340
Na 0.987 0.963 0.840
V 0.486 0.683 0.623
V 0.486 0.817 0.123
V 0.514 0.183 0.877
V 0.514 0.317 0.377
B 0.048 0.191 0.382
B 0.048 0.309 0.882
B 0.479 0.149 0.135
B 0.479 0.351 0.635
B 0.521 0.649 0.365
B 0.521 0.851 0.865
B 0.952 0.691 0.118
B 0.952 0.809 0.618
O 0.133 0.187 0.844
O 0.133 0.313 0.344
O 0.175 0.696 0.092
O 0.175 0.804 0.592
O 0.184 0.068 0.391
O 0.184 0.432 0.891
O 0.370 0.673 0.432
O 0.370 0.827 0.932
O 0.382 0.243 0.682
O 0.382 0.257 0.182
O 0.426 0.010 0.159
O 0.426 0.490 0.659
O 0.574 0.510 0.341
O 0.574 0.990 0.841
O 0.618 0.743 0.818
O 0.618 0.757 0.318
O 0.630 0.173 0.068
O 0.630 0.327 0.568
O 0.816 0.568 0.109
O 0.816 0.932 0.609
O 0.825 0.196 0.408
O 0.825 0.304 0.908
O 0.867 0.687 0.656
O 0.867 0.813 0.156

---

Starting from a structure optimized by DFT (GGA+U), the powder XRD pattern of NbNi2BO6 was simulated for copper Kα.
Intensities are scaled so that the largest is 100.

Peak list (10 most intense, 10° ≤ 2θ ≤ 80°, sorted by position)
| d [Å] | 2θ/deg | Rel. int. | h k l |
| --- | --- | --- | --- |
| 3.747 | 23.7 | 47 | 1 1 1 |
| 3.007 | 29.7 | 100 | 1 2 1 |
| 2.724 | 32.9 | 23 | 3 0 1 |
| 2.601 | 34.5 | 55 | 3 1 1 |
| 2.529 | 35.5 | 37 | 2 3 0 |
| 1.932 | 47.0 | 14 | 1 4 1 |
| 1.697 | 54.1 | 16 | 4 0 2 |
| 1.689 | 54.3 | 48 | 2 3 2 |
| 1.569 | 58.8 | 17 | 5 3 1 |
| 1.470 | 63.3 | 20 | 6 3 0 |

Cell and atoms:
abc: 10.217 8.732 4.539
angles: 90.00 90.00 90.00
Fractional positions:
Nb 0.080 0.250 0.025
Nb 0.420 0.750 0.525
Nb 0.580 0.250 0.475
Nb 0.920 0.750 0.975
Ni 0.136 0.570 0.520
Ni 0.136 0.930 0.520
Ni 0.364 0.070 0.020
Ni 0.364 0.430 0.020
Ni 0.636 0.570 0.980
Ni 0.636 0.930 0.980
Ni 0.864 0.070 0.480
Ni 0.864 0.430 0.480
B 0.226 0.750 0.090
B 0.274 0.250 0.590
B 0.726 0.750 0.410
B 0.774 0.250 0.910
O 0.038 0.083 0.260
O 0.038 0.417 0.260
O 0.085 0.750 0.216
O 0.208 0.116 0.739
O 0.208 0.384 0.739
O 0.227 0.750 0.771
O 0.273 0.250 0.271
O 0.292 0.616 0.239
O 0.292 0.884 0.239
O 0.415 0.250 0.716
O 0.462 0.583 0.760
O 0.462 0.917 0.760
O 0.538 0.083 0.240
O 0.538 0.417 0.240
O 0.585 0.750 0.284
O 0.708 0.116 0.761
O 0.708 0.384 0.761
O 0.727 0.750 0.729
O 0.773 0.250 0.229
O 0.792 0.616 0.261
O 0.792 0.884 0.261
O 0.915 0.250 0.784
O 0.962 0.583 0.740
O 0.962 0.917 0.740

---

Starting from a structure optimized by DFT (GGA+U), the powder XRD pattern of Nd3BWO9 was simulated for copper Kα.
Intensities are scaled so that the largest is 100.

Peak list (10 most intense, 10° ≤ 2θ ≤ 80°, sorted by position)
| d [Å] | 2θ/deg | Rel. int. | h k l |
| --- | --- | --- | --- |
| 3.458 | 25.8 | 89 | 1 1 1 |
| 3.149 | 28.3 | 100 | 2 0 1 |
| 2.880 | 31.1 | 19 | 1 2 0 |
| 2.797 | 32.0 | 24 | 0 0 2 |
| 2.561 | 35.0 | 26 | 2 1 1 |
| 2.540 | 35.3 | 25 | 3 0 0 |
| 2.113 | 42.8 | 20 | 1 3 0 |
| 2.006 | 45.2 | 25 | 1 2 2 |
| 1.880 | 48.4 | 30 | 3 0 2 |
| 1.669 | 55.0 | 35 | 3 2 1 |

Cell and atoms:
abc: 8.799 8.799 5.593
angles: 90.00 90.00 120.00
Fractional positions:
Nd 0.080 0.724 0.000
Nd 0.276 0.356 0.000
Nd 0.356 0.080 0.500
Nd 0.644 0.920 0.000
Nd 0.724 0.644 0.500
Nd 0.920 0.276 0.500
B 0.000 0.000 0.165
B 0.000 0.000 0.665
W 0.333 0.667 0.544
W 0.667 0.333 0.044
O 0.048 0.873 0.657
O 0.127 0.176 0.657
O 0.135 0.520 0.767
O 0.176 0.048 0.157
O 0.206 0.466 0.341
O 0.260 0.794 0.341
O 0.385 0.865 0.767
O 0.466 0.260 0.841
O 0.480 0.615 0.767
O 0.520 0.385 0.267
O 0.534 0.740 0.341
O 0.615 0.135 0.267
O 0.740 0.206 0.841
O 0.794 0.534 0.841
O 0.824 0.952 0.657
O 0.865 0.480 0.267
O 0.873 0.824 0.157
O 0.952 0.127 0.157

---

Starting from a structure optimized by DFT (GGA+U), the powder XRD pattern of NiB6O18 was simulated for copper Kα.
Intensities are scaled so that the largest is 100.

Peak list (10 most intense, 10° ≤ 2θ ≤ 80°, sorted by position)
| d [Å] | 2θ/deg | Rel. int. | h k l |
| --- | --- | --- | --- |
| 8.414 | 10.5 | 30 | 0 1 0 |
| 7.951 | 11.1 | 28 | 1 0 0 |
| 7.226 | 12.2 | 100 | 1 0 1 |
| 6.148 | 14.4 | 24 | 1 1 1 |
| 5.955 | 14.9 | 52 | 1 -1 0 |
| 5.617 | 15.8 | 19 | 1 1 0 |
| 5.286 | 16.8 | 60 | 1 0 -1 |
| 4.789 | 18.5 | 59 | 0 1 2 |
| 4.207 | 21.1 | 51 | 0 2 0 |
| 3.633 | 24.5 | 56 | 1 2 0 |

Cell and atoms:
abc: 8.363 8.937 10.319
angles: 70.58 72.25 87.20
Fractional positions:
Ni 0.163 0.145 0.178
Ni 0.837 0.855 0.822
B 0.102 0.821 0.396
B 0.103 0.832 0.142
B 0.163 0.184 0.663
B 0.291 0.632 0.502
B 0.292 0.650 0.043
B 0.361 0.708 0.238
B 0.639 0.292 0.762
B 0.708 0.350 0.957
B 0.709 0.368 0.498
B 0.837 0.816 0.337
B 0.897 0.168 0.858
B 0.898 0.179 0.604
O 0.046 0.760 0.810
O 0.080 0.183 0.800
O 0.082 0.200 0.560
O 0.126 0.993 0.356
O 0.137 0.004 0.079
O 0.169 0.740 0.512
O 0.169 0.755 0.036
O 0.178 0.312 0.017
O 0.179 0.763 0.267
O 0.255 0.293 0.270
O 0.311 0.533 0.630
O 0.323 0.557 0.954
O 0.333 0.167 0.618
O 0.386 0.612 0.374
O 0.392 0.630 0.131
O 0.404 0.235 0.249
O 0.421 0.132 0.179
O 0.481 0.843 0.187
O 0.519 0.157 0.813
O 0.579 0.868 0.821
O 0.596 0.765 0.751
O 0.608 0.370 0.869
O 0.614 0.388 0.626
O 0.667 0.833 0.382
O 0.677 0.443 0.046
O 0.689 0.467 0.370
O 0.745 0.707 0.730
O 0.821 0.237 0.733
O 0.822 0.688 0.983
O 0.831 0.245 0.964
O 0.831 0.260 0.488
O 0.863 0.996 0.921
O 0.874 0.007 0.644
O 0.918 0.800 0.440
O 0.920 0.817 0.200
O 0.954 0.240 0.190